1.
For Ba3Ge2As4, a cell relaxed with PBE gives the computed X-ray diffraction stick pattern in this record (Cu Kα (λ = 1.5418 Å)).
Intensities are scaled so that the largest is 100.

Structural model:
Unit cell a=9.112 b=9.112 c=8.244 alpha=90.25 beta=90.25 gamma=59.48
Sites, in units of the cell vectors:
Ba1 0.020 0.980 0.750
Ba2 0.268 0.467 0.114
Ba3 0.467 0.268 0.614
Ba4 0.533 0.732 0.386
Ba5 0.732 0.533 0.886
Ba6 0.980 0.020 0.250
Ge1 0.036 0.340 0.509
Ge2 0.340 0.036 0.009
Ge3 0.660 0.964 0.991
Ge4 0.964 0.660 0.491
As1 0.148 0.278 0.823
As2 0.222 0.669 0.486
As3 0.278 0.148 0.323
As4 0.331 0.778 0.014
As5 0.669 0.222 0.986
As6 0.722 0.852 0.677
As7 0.778 0.331 0.514
As8 0.852 0.722 0.177

Most intense lines, 2θ = 10–80°, in order of rising 2θ:
| 2θ/deg | intensity |
| --- | --- |
| 15.6 | 31.7 |
| 24.3 | 57.8 |
| 25.1 | 76.6 |
| 29.3 | 100.0 |
| 29.9 | 75.2 |
| 31.4 | 45.6 |
| 31.9 | 42.9 |
| 32.1 | 30.4 |
| 34.6 | 49.4 |
| 36.0 | 49.3 |

***

2.
For BaGeAsPd3, a cell relaxed with PBE gives the computed X-ray diffraction stick pattern in this record (Cu Kα (λ = 1.5418 Å)).
Intensities are scaled so that the largest is 100.

Structural model:
Unit cell a=7.362 b=7.362 c=6.407 alpha=90.00 beta=90.00 gamma=126.16
Sites, in units of the cell vectors:
Ba1 0.247 0.753 0.750
Ba2 0.753 0.247 0.250
Ge1 0.042 0.958 0.250
Ge2 0.958 0.042 0.750
As1 0.407 0.593 0.250
As2 0.593 0.407 0.750
Pd1 0.224 0.776 0.250
Pd2 0.280 0.280 0.000
Pd3 0.280 0.280 0.500
Pd4 0.720 0.720 0.000
Pd5 0.720 0.720 0.500
Pd6 0.776 0.224 0.750

Most intense lines, 2θ = 10–80°, in order of rising 2θ:
| 2θ/deg | intensity |
| --- | --- |
| 27.2 | 66.1 |
| 28.1 | 37.3 |
| 30.1 | 66.5 |
| 31.1 | 66.7 |
| 39.0 | 100.0 |
| 46.8 | 17.0 |
| 48.2 | 50.0 |
| 49.9 | 30.1 |
| 50.5 | 35.1 |
| 57.5 | 16.6 |

***

3.
For Ba6As3H, a cell relaxed with PBE gives the computed X-ray diffraction stick pattern in this record (Cu Kα (λ = 1.5418 Å)).
Intensities are scaled so that the largest is 100.

Structural model:
Unit cell a=10.278 b=10.278 c=7.796 alpha=90.00 beta=90.00 gamma=102.90
Sites, in units of the cell vectors:
Ba1 0.041 0.959 0.500
Ba2 0.109 0.571 0.514
Ba3 0.217 0.783 0.000
Ba4 0.317 0.358 0.022
Ba5 0.358 0.317 0.522
Ba6 0.429 0.891 0.514
Ba7 0.571 0.109 0.014
Ba8 0.642 0.683 0.022
Ba9 0.683 0.642 0.522
Ba10 0.783 0.217 0.500
Ba11 0.891 0.429 0.014
Ba12 0.959 0.041 0.000
As1 0.069 0.286 0.296
As2 0.286 0.069 0.796
As3 0.386 0.614 0.746
As4 0.614 0.386 0.246
As5 0.714 0.931 0.296
As6 0.931 0.714 0.796
H1 0.192 0.808 0.357
H2 0.808 0.192 0.857

Most intense lines, 2θ = 10–80°, in order of rising 2θ:
| 2θ/deg | intensity |
| --- | --- |
| 22.8 | 44.1 |
| 24.4 | 43.8 |
| 24.9 | 43.4 |
| 29.1 | 100.0 |
| 31.6 | 89.2 |
| 32.0 | 78.4 |
| 34.9 | 50.6 |
| 42.3 | 26.6 |
| 46.6 | 38.5 |
| 54.0 | 33.1 |

***

4.
For BaLi2AsH, a cell relaxed with PBE gives the computed X-ray diffraction stick pattern in this record (Cu Kα (λ = 1.5418 Å)).
Intensities are scaled so that the largest is 100.

Structural model:
Unit cell a=6.275 b=6.275 c=7.337 alpha=90.00 beta=90.00 gamma=138.82
Sites, in units of the cell vectors:
Ba1 0.068 0.932 0.750
Ba2 0.932 0.068 0.250
Li1 0.334 0.666 0.564
Li2 0.334 0.666 0.936
Li3 0.666 0.334 0.064
Li4 0.666 0.334 0.436
As1 0.212 0.788 0.250
As2 0.788 0.212 0.750
H1 0.500 0.500 0.000
H2 0.500 0.500 0.500

Most intense lines, 2θ = 10–80°, in order of rising 2θ:
| 2θ/deg | intensity |
| --- | --- |
| 19.4 | 12.4 |
| 21.5 | 46.7 |
| 24.3 | 41.0 |
| 32.6 | 39.1 |
| 32.9 | 100.0 |
| 40.9 | 12.4 |
| 48.1 | 12.8 |
| 48.5 | 31.7 |
| 53.4 | 18.0 |
| 64.6 | 10.7 |

***

5.
For Ba3As4H2O14, a cell relaxed with PBE gives the computed X-ray diffraction stick pattern in this record (Cu Kα (λ = 1.5418 Å)).
Intensities are scaled so that the largest is 100.

Structural model:
Unit cell a=7.432 b=7.432 c=14.812 alpha=102.91 beta=102.91 gamma=70.02
Sites, in units of the cell vectors:
Ba1 0.106 0.894 0.750
Ba2 0.265 0.275 0.549
Ba3 0.275 0.265 0.049
Ba4 0.725 0.735 0.951
Ba5 0.735 0.725 0.451
Ba6 0.894 0.106 0.250
As1 0.208 0.757 0.455
As2 0.243 0.792 0.045
As3 0.300 0.365 0.307
As4 0.365 0.300 0.807
As5 0.635 0.700 0.193
As6 0.700 0.635 0.693
As7 0.757 0.208 0.955
As8 0.792 0.243 0.545
H1 0.004 0.500 0.773
H2 0.500 0.004 0.273
H3 0.500 0.996 0.727
H4 0.996 0.500 0.227
O1 0.009 0.856 0.378
O2 0.116 0.634 0.999
O3 0.133 0.477 0.215
O4 0.141 0.659 0.531
O5 0.144 0.991 0.122
O6 0.184 0.265 0.358
O7 0.214 0.490 0.754
O8 0.265 0.184 0.858
O9 0.341 0.859 0.969
O10 0.366 0.884 0.501
O11 0.377 0.551 0.386
O12 0.449 0.623 0.114
O13 0.477 0.133 0.715
O14 0.490 0.214 0.254
O15 0.510 0.786 0.746
O16 0.523 0.867 0.285
O17 0.551 0.377 0.886
O18 0.623 0.449 0.614
O19 0.634 0.116 0.499
O20 0.659 0.141 0.031
O21 0.735 0.816 0.142
O22 0.786 0.510 0.246
O23 0.816 0.735 0.642
O24 0.856 0.009 0.878
O25 0.859 0.341 0.469
O26 0.867 0.523 0.785
O27 0.884 0.366 0.001
O28 0.991 0.144 0.622

Most intense lines, 2θ = 10–80°, in order of rising 2θ:
| 2θ/deg | intensity |
| --- | --- |
| 20.9 | 37.1 |
| 25.1 | 100.0 |
| 25.1 | 34.1 |
| 25.8 | 89.5 |
| 26.2 | 95.0 |
| 26.9 | 31.1 |
| 30.0 | 31.1 |
| 30.6 | 68.2 |
| 40.1 | 58.1 |
| 44.4 | 28.9 |